This entry pairs a crystal structure of MgAuBr2 with its calculated powder XRD pattern. Radiation: Cu Ka. Structure: a GGA-PBE-relaxed structure.
Intensities are scaled so that the largest is 100.

Peak list (10 most intense, 15 to 90 degrees two-theta, in order of falling intensity)
d_spacing  Position (°2θ)  I/Imax
3.022  29.56  100
2.489  36.08  53
1.989  45.62  41
1.908  47.67  36
3.323  26.83  35
2.844  31.46  21
4.201  21.15  21
3.413  26.11  21
2.325  38.73  19
1.935  46.95  18

Cell and atoms:
Cell: 3.9773 3.9773 25.2063 Å, 90.00 90.00 120.00°
Space group R3m (No. 160, hexagonal axes)
Asymmetric unit:
Mg 0.0000 0.0000 0.0000 x3
Au 0.0000 0.0000 0.2676 x3
Br 0.0000 0.0000 0.5400 x3
Br 0.0000 0.0000 0.7246 x3

This entry pairs a crystal structure of MgAuBr2 with its calculated powder XRD pattern. Radiation: Cu Ka. Structure: a GGA-PBE-relaxed structure.
Intensities are scaled so that the largest is 100.

Peak list (10 most intense, 15 to 90 degrees two-theta, in order of falling intensity)
d_spacing  Position (°2θ)  I/Imax
2.927  30.55  100
2.833  31.58  90
3.767  23.62  61
5.650  15.68  53
2.295  39.25  52
3.105  28.75  48
1.913  47.54  42
1.800  50.70  34
1.624  56.66  34
2.512  35.75  21

Cell and atoms:
Cell: 3.6009 3.6009 33.9016 Å, 90.00 90.00 120.00°
Space group R-3m (No. 166, hexagonal axes)
Asymmetric unit:
Mg 0.0000 0.0000 0.0000 x3
Au 0.0000 0.0000 0.5000 x3
Br 0.0000 0.0000 0.2859 x6

This entry pairs a crystal structure of MoAuBr3 with its calculated powder XRD pattern. Radiation: Cu Ka. Structure: a GGA-PBE-relaxed structure.
Intensities are scaled so that the largest is 100.

Peak list (10 most intense, 15 to 90 degrees two-theta, in order of falling intensity)
d_spacing  Position (°2θ)  I/Imax
2.613  34.31  100
3.018  29.60  80
3.696  24.08  76
1.848  49.31  71
2.134  42.36  35
1.576  58.57  35
1.169  82.54  32
1.509  61.45  24
1.397  66.99  18
1.653  55.60  16

Cell and atoms:
Cell: 5.227 5.227 5.227 Å, 90.00 90.00 90.00°
Space group Pm-3m (No. 221)
Asymmetric unit:
Mo 0.000 0.000 0.000 x1
Au 0.500 0.500 0.500 x1
Br 0.000 0.000 0.500 x3

This entry pairs a crystal structure of MoPtAu2Br with its calculated powder XRD pattern. Radiation: Cu Ka. Structure: a GGA-PBE-relaxed structure.
Intensities are scaled so that the largest is 100.

Peak list (10 most intense, 15 to 90 degrees two-theta, in order of falling intensity)
d_spacing  Position (°2θ)  I/Imax
2.899  30.84  100
2.553  35.15  64
1.761  51.93  42
1.533  60.40  31
2.431  36.98  28
5.107  17.37  26
1.805  50.55  23
1.449  64.26  22
1.479  62.85  14
4.862  18.25  13

Cell and atoms:
Cell: 5.107 5.107 4.862 Å, 90.00 90.00 90.00°
Space group P4/mmm (No. 123)
Asymmetric unit:
Mo 0.000 0.000 0.000 x1
Pt 0.000 0.000 0.500 x1
Au 0.000 0.500 0.000 x2
Br 0.500 0.500 0.500 x1

This entry pairs a crystal structure of Rb2MoAuBr6 with its calculated powder XRD pattern. Radiation: Cu Ka. Structure: a GGA-PBE-relaxed structure.
Intensities are scaled so that the largest is 100.

Peak list (10 most intense, 15 to 90 degrees two-theta, in order of falling intensity)
d_spacing  Position (°2θ)  I/Imax
2.728  32.82  100
3.864  23.02  75
5.464  16.22  75
1.933  47.00  71
2.739  32.69  50
3.155  28.29  44
1.577  58.51  36
1.929  47.10  35
2.231  40.44  34
1.221  78.33  31

Cell and atoms:
Cell: 7.717 7.717 10.958 Å, 90.00 90.00 90.00°
Space group I4/mmm (No. 139)
Asymmetric unit:
Rb 0.000 0.500 0.250 x4
Mo 0.000 0.000 0.000 x2
Au 0.000 0.000 0.500 x2
Br 0.000 0.000 0.240 x4
Br 0.241 0.241 0.000 x8

This entry pairs a crystal structure of Au2BrN with its calculated powder XRD pattern. Radiation: Cu Ka. Structure: a GGA-PBE-relaxed structure.
Intensities are scaled so that the largest is 100.

Peak list (10 most intense, 15 to 90 degrees two-theta, in order of falling intensity)
d_spacing  Position (°2θ)  I/Imax
2.493  36.03  100
4.985  17.79  78
3.234  27.58  77
2.401  37.46  70
1.628  56.53  42
2.201  41.00  27
1.617  56.94  27
3.005  29.73  23
1.200  79.92  21
2.090  43.29  17

Cell and atoms:
Cell: 5.478 5.478 12.021 Å, 90.00 90.00 90.00°
Space group I4_1/amd (No. 141, origin choice 2)
Asymmetric unit:
Au 0.000 0.000 0.000 x8
Br 0.000 0.250 0.375 x4
N 0.000 0.250 0.875 x4